Computed powder XRD pattern
Compound: Cs3Mg2PbBr9
Radiation: Cu Kα X-rays
Structure: a GGA-PBE-relaxed structure
No peak broadening, texture or thermal motion is included.

Main lines, sorted by position (10 to 90 degrees two-theta):
| d_spacing | two_theta | Rel. int. |
| --- | --- | --- |
| 3.976 | 22.36 | 45 |
| 3.260 | 27.36 | 19 |
| 3.241 | 27.52 | 60 |
| 2.811 | 31.84 | 100 |
| 1.992 | 45.54 | 34 |
| 1.983 | 45.75 | 34 |
| 1.693 | 54.17 | 24 |
| 1.620 | 56.82 | 18 |
| 1.259 | 75.51 | 14 |
| 1.255 | 75.81 | 16 |

Cell and atoms:
```
Cs3Mg2PbBr9
1.0
7.933 0.000 0.000
-3.966 6.870 0.000
0.000 0.000 9.779
Cs Mg Pb Br
3 2 1 9
Direct
0.000 0.000 0.000
0.333 0.667 0.671
0.667 0.333 0.329
0.333 0.667 0.155
0.667 0.333 0.845
0.000 0.000 0.500
0.000 0.500 0.000
0.175 0.351 0.318
0.175 0.825 0.318
0.351 0.175 0.682
0.500 0.000 0.000
0.500 0.500 0.000
0.649 0.825 0.318
0.825 0.175 0.682
0.825 0.649 0.682
```

=====

Computed powder XRD pattern
Compound: ThSiClO4
Radiation: Cu Kα X-rays
Structure: a GGA-PBE-relaxed structure
No peak broadening, texture or thermal motion is included.

Main lines, sorted by position (10 to 90 degrees two-theta):
| d_spacing | two_theta | Rel. int. |
| --- | --- | --- |
| 6.616 | 13.38 | 84 |
| 5.177 | 17.13 | 100 |
| 4.656 | 19.06 | 79 |
| 4.105 | 21.65 | 52 |
| 3.486 | 25.55 | 82 |
| 3.090 | 28.90 | 41 |
| 3.045 | 29.33 | 83 |
| 2.606 | 34.41 | 44 |
| 2.530 | 35.48 | 45 |
| 1.916 | 47.45 | 32 |

Cell and atoms:
```
ThSiClO4
1.0
5.316 -3.486 0.000
5.316 3.486 0.000
-1.539 0.000 6.616
Th Si Cl O
2 2 2 8
Direct
0.234 0.234 0.348
0.766 0.766 0.652
0.140 0.140 0.766
0.860 0.860 0.234
0.482 0.482 0.685
0.518 0.518 0.315
0.012 0.374 0.649
0.017 0.017 0.268
0.199 0.199 0.009
0.374 0.012 0.649
0.626 0.988 0.351
0.801 0.801 0.991
0.983 0.983 0.732
0.988 0.626 0.351
```

=====

Computed powder XRD pattern
Compound: MgCdBiF6
Radiation: Cu Kα X-rays
Structure: a GGA-PBE-relaxed structure
No peak broadening, texture or thermal motion is included.

Main lines, sorted by position (10 to 90 degrees two-theta):
| d_spacing | two_theta | Rel. int. |
| --- | --- | --- |
| 5.184 | 17.11 | 27 |
| 4.403 | 20.17 | 12 |
| 3.250 | 27.44 | 100 |
| 2.993 | 29.85 | 45 |
| 2.202 | 40.99 | 35 |
| 1.773 | 51.53 | 36 |
| 1.728 | 53.00 | 19 |
| 1.711 | 53.54 | 32 |
| 1.359 | 69.11 | 15 |
| 1.216 | 78.69 | 10 |

Cell and atoms:
```
MgCdBiF6
1.0
5.985 0.000 0.000
-2.993 5.184 0.000
0.000 0.000 8.345
Mg Cd Bi F
2 2 2 12
Direct
0.333 0.667 0.250
0.667 0.333 0.750
0.333 0.667 0.750
0.667 0.333 0.250
0.000 0.000 0.000
0.000 0.000 0.500
0.035 0.385 0.124
0.035 0.651 0.376
0.349 0.385 0.376
0.349 0.965 0.124
0.385 0.035 0.624
0.385 0.349 0.876
0.615 0.651 0.124
0.615 0.965 0.376
0.651 0.035 0.876
0.651 0.615 0.624
0.965 0.349 0.624
0.965 0.615 0.876
```